The following is a calculated PXRD pattern of Li3TeO4. It was derived from DFT lattice parameters and positions (GGA-PBE), using copper Kα.

Atomic structure:
Lattice parameters (Å, degrees): 5.3935 5.3935 5.3935 108.70 108.70 108.70
Element x y z (fractional)
Li  0.1065  0.1065  0.7870
Li  0.1065  0.7870  0.1065
Li  0.7870  0.1065  0.1065
Te  0.4242  0.4242  0.4242
O  0.1344  0.1344  0.4550
O  0.1344  0.4550  0.1344
O  0.4550  0.1344  0.1344
O  0.7870  0.7870  0.7870

Most intense lines, 10° ≤ 2θ ≤ 80°, in order of rising 2θ:
2theta  I_rel
19.71  67
20.26  100
28.42  39
34.16  17
35.15  21
35.48  14
41.19  13
45.27  26
46.06  21
53.39  12